(1)
Simulated powder diffractogram of NaSr2Cd16 for Cu Kα (weighted mean of Kα1 and Kα2), from a cell relaxed with GGA-PBE.

Cell and atoms:
```
data_NaSr2Cd16
_chemical_formula_sum 'Na3 Sr6 Cd48'
_cell_length_a 10.3502
_cell_length_b 10.3502
_cell_length_c 15.1293
_cell_angle_alpha 90.00
_cell_angle_beta 90.00
_cell_angle_gamma 120.00
_space_group_name_H-M_alt 'R 3 m'
_space_group_IT_number 160
_space_group_name_Hall 'R 3 -2"'
loop_
_atom_site_label
_atom_site_type_symbol
_atom_site_fract_x
_atom_site_fract_y
_atom_site_fract_z
_atom_site_occupancy
Na1 Na 0.0000 0.0000 0.0000 1
Sr1 Sr 0.0000 0.0000 0.4330 1
Sr2 Sr 0.0000 0.0000 0.7496 1
Cd1 Cd 0.0000 0.0000 0.2074 1
Cd2 Cd 0.0000 0.2992 0.0892 1
Cd3 Cd 0.0071 0.5036 0.2387 1
Cd4 Cd 0.1675 0.3349 0.9228 1
Cd5 Cd 0.1734 0.3467 0.2730 1
```

Top 10 peaks for 5 to 70 degrees two-theta, by angle:
index  2θ/deg  d/Å  I_rel
1 1 0  17.13  5.175  33.8
3 0 0  29.91  2.988  22.7
0 2 4  30.94  2.891  23.7
2 2 0  34.67  2.588  51.3
0 3 3  34.90  2.571  100.0
0 0 6  35.60  2.522  49.5
2 0 5  35.81  2.508  19.4
2 2 3  39.13  2.302  95.3
6 0 0  62.13  1.494  23.3
0 3 9  63.48  1.465  23.9



(2)
Simulated powder diffractogram of Na5Sr6Cd for Cu Kα (weighted mean of Kα1 and Kα2), from a cell relaxed with GGA-PBE.

Cell and atoms:
```
data_Na5Sr6Cd
_chemical_formula_sum 'Na5 Sr6 Cd1'
_cell_length_a 6.2587
_cell_length_b 8.7662
_cell_length_c 9.8737
_cell_angle_alpha 90.00
_cell_angle_beta 108.24
_cell_angle_gamma 90.00
_space_group_name_H-M_alt 'P 1 2/m 1'
_space_group_IT_number 10
loop_
_space_group_symop_operation_xyz
'x,y,z'
'-x,-y,-z'
'-x,y,-z'
'x,-y,z'
loop_
_atom_site_label
_atom_site_type_symbol
_atom_site_fract_x
_atom_site_fract_y
_atom_site_fract_z
_atom_site_occupancy
Na1 Na 0.0000 0.0000 0.0000 1
Na2 Na 0.3281 0.5000 0.6530 1
Na3 Na 0.3301 0.0000 0.6579 1
Sr1 Sr 0.1555 0.2612 0.3131 1
Sr2 Sr 0.5000 0.2694 0.0000 1
Cd1 Cd 0.0000 0.5000 0.0000 1
```

Top 10 peaks for 5 to 70 degrees two-theta, by angle:
index  2θ/deg  d/Å  I_rel
0 1 0  10.09  8.766  9.0
1 0 -2  20.08  4.423  17.1
2 0 -1  28.54  3.128  50.9
1 2 1  28.67  3.113  100.0
2 0 2  40.71  2.216  9.2
2 0 -4  40.89  2.207  9.2
0 4 0  41.19  2.192  8.8
3 2 0  50.57  1.805  18.5
3 2 -3  50.68  1.801  18.5
2 4 -1  50.88  1.795  18.0



(3)
Simulated powder diffractogram of Na3SrCd3 for Cu Kα (weighted mean of Kα1 and Kα2), from a cell relaxed with GGA-PBE.

Cell and atoms:
```
data_Na3SrCd3
_chemical_formula_sum 'Na6 Sr2 Cd6'
_cell_length_a 8.2353
_cell_length_b 8.2353
_cell_length_c 8.2353
_cell_angle_alpha 90.00
_cell_angle_beta 90.00
_cell_angle_gamma 90.00
_space_group_name_H-M_alt 'P m -3 n'
_space_group_IT_number 223
_space_group_name_Hall '-P 4n 2 3'
loop_
_atom_site_label
_atom_site_type_symbol
_atom_site_fract_x
_atom_site_fract_y
_atom_site_fract_z
_atom_site_occupancy
Na1 Na 0.0000 0.2500 0.5000 1
Sr1 Sr 0.0000 0.0000 0.0000 1
Cd1 Cd 0.0000 0.5000 0.2500 1
```

Top 10 peaks for 5 to 70 degrees two-theta, by angle:
index  2θ/deg  d/Å  I_rel
2 0 0  21.58  4.118  41.5
2 1 0  24.17  3.683  78.7
2 1 1  26.51  3.362  100.0
2 2 2  37.84  2.377  27.0
3 2 0  39.45  2.284  21.6
3 2 1  41.01  2.201  61.2
4 0 0  43.98  2.059  30.7
4 2 1  50.81  1.797  20.4
5 2 0  60.55  1.529  17.8
4 4 0  63.95  1.456  19.1



(4)
Simulated powder diffractogram of Na4Sr5Cd2 for Cu Kα (weighted mean of Kα1 and Kα2), from a cell relaxed with GGA-PBE.

Cell and atoms:
```
data_Na4Sr5Cd2
_chemical_formula_sum 'Na8 Sr10 Cd4'
_cell_length_a 9.8050
_cell_length_b 21.5585
_cell_length_c 4.2726
_cell_angle_alpha 90.00
_cell_angle_beta 90.00
_cell_angle_gamma 90.00
_space_group_name_H-M_alt 'P b a m'
_space_group_IT_number 55
loop_
_space_group_symop_operation_xyz
'x,y,z'
'-x,-y,-z'
'-x,-y,z'
'x,y,-z'
'x+1/2,-y+1/2,-z'
'-x+1/2,y+1/2,z'
'-x+1/2,y+1/2,-z'
'x+1/2,-y+1/2,z'
loop_
_atom_site_label
_atom_site_type_symbol
_atom_site_fract_x
_atom_site_fract_y
_atom_site_fract_z
_atom_site_occupancy
Na1 Na 0.0790 0.1521 0.0000 1
Na2 Na 0.2045 0.4327 0.0000 1
Sr1 Sr 0.0000 0.0000 0.5000 1
Sr2 Sr 0.1158 0.5867 0.5000 1
Sr3 Sr 0.2392 0.7822 0.5000 1
Cd1 Cd 0.0195 0.7013 0.0000 1
```

Top 10 peaks for 5 to 70 degrees two-theta, by angle:
index  2θ/deg  d/Å  I_rel
0 2 0  8.20  10.779  50.9
1 1 0  9.91  8.925  15.8
1 3 0  15.29  5.796  50.8
2 0 1  27.70  3.221  18.5
1 4 1  28.16  3.169  45.8
3 2 0  28.54  3.128  22.4
2 2 1  28.93  3.086  100.0
1 7 0  30.42  2.939  54.4
1 5 1  30.84  2.899  81.9
0 0 2  42.31  2.136  22.7



(5)
Simulated powder diffractogram of NaSr5Cd6 for Cu Kα (weighted mean of Kα1 and Kα2), from a cell relaxed with GGA-PBE.

Cell and atoms:
```
data_NaSr5Cd6
_chemical_formula_sum 'Na1 Sr5 Cd6'
_cell_length_a 5.7505
_cell_length_b 7.9103
_cell_length_c 9.0555
_cell_angle_alpha 90.00
_cell_angle_beta 108.46
_cell_angle_gamma 90.00
_space_group_name_H-M_alt 'P 1 2/m 1'
_space_group_IT_number 10
loop_
_space_group_symop_operation_xyz
'x,y,z'
'-x,-y,-z'
'-x,y,-z'
'x,-y,z'
loop_
_atom_site_label
_atom_site_type_symbol
_atom_site_fract_x
_atom_site_fract_y
_atom_site_fract_z
_atom_site_occupancy
Na1 Na 0.0000 0.0000 0.0000 1
Sr1 Sr 0.0000 0.5000 0.0000 1
Sr2 Sr 0.3316 0.5000 0.6617 1
Sr3 Sr 0.3355 0.0000 0.6694 1
Cd1 Cd 0.1626 0.2430 0.3275 1
Cd2 Cd 0.5000 0.2473 0.0000 1
```

Top 10 peaks for 5 to 70 degrees two-theta, by angle:
index  2θ/deg  d/Å  I_rel
2 0 -1  31.11  2.875  26.2
0 0 3  31.24  2.863  25.7
1 2 1  31.59  2.832  100.0
2 0 -4  44.67  2.029  18.8
0 4 0  45.89  1.978  8.6
3 2 0  55.65  1.652  19.2
1 2 4  55.82  1.647  18.7
2 4 -1  56.52  1.628  18.0
2 4 2  65.95  1.416  5.6
2 4 -4  65.98  1.416  5.6



(6)
Simulated powder diffractogram of NaSr8Cd2 for Cu Kα (weighted mean of Kα1 and Kα2), from a cell relaxed with GGA-PBE.

Cell and atoms:
```
data_NaSr8Cd2
_chemical_formula_sum 'Na1 Sr8 Cd2'
_cell_length_a 6.2016
_cell_length_b 8.3508
_cell_length_c 10.8472
_cell_angle_alpha 112.55
_cell_angle_beta 106.57
_cell_angle_gamma 90.04
_space_group_name_H-M_alt 'P 1'
_space_group_IT_number 1
loop_
_space_group_symop_operation_xyz
'x,y,z'
loop_
_atom_site_label
_atom_site_type_symbol
_atom_site_fract_x
_atom_site_fract_y
_atom_site_fract_z
_atom_site_occupancy
Na1 Na 0.0000 0.0000 0.0000 1
Sr1 Sr 0.1644 0.9590 0.3286 1
Sr2 Sr 0.2111 0.5430 0.4219 1
Sr3 Sr 0.3900 0.0360 0.7805 1
Sr4 Sr 0.4998 0.7133 0.0007 1
Sr5 Sr 0.6094 0.2561 0.2189 1
Sr6 Sr 0.7890 0.1220 0.5780 1
Sr7 Sr 0.8357 0.6310 0.6716 1
Sr8 Sr 0.9988 0.4295 0.9996 1
Cd1 Cd 0.3339 0.3694 0.6676 1
Cd2 Cd 0.6675 0.7021 0.3340 1
```

Top 10 peaks for 5 to 70 degrees two-theta, by angle:
index  2θ/deg  d/Å  I_rel
0 1 -3  25.70  3.467  26.2
1 1 -3  25.89  3.442  65.9
1 2 -1  26.15  3.408  49.6
1 0 -3  27.47  3.247  16.2
0 0 3  28.10  3.176  17.9
2 0 -1  28.79  3.101  64.1
-1 2 1  29.37  3.041  100.0
1 1 -4  33.47  2.677  18.3
2 -1 2  38.97  2.311  17.3
-3 2 2  51.37  1.779  28.7



(7)
Simulated powder diffractogram of Na2SrCd6 for Cu Kα (weighted mean of Kα1 and Kα2), from a cell relaxed with GGA-PBE.

Cell and atoms:
```
data_Na2SrCd6
_chemical_formula_sum 'Na2 Sr1 Cd6'
_cell_length_a 8.8708
_cell_length_b 8.8708
_cell_length_c 3.5809
_cell_angle_alpha 90.00
_cell_angle_beta 90.00
_cell_angle_gamma 120.00
_space_group_name_H-M_alt 'P 6/m m m'
_space_group_IT_number 191
_space_group_name_Hall '-P 6 2'
loop_
_atom_site_label
_atom_site_type_symbol
_atom_site_fract_x
_atom_site_fract_y
_atom_site_fract_z
_atom_site_occupancy
Na1 Na 0.3333 0.6667 0.0000 1
Sr1 Sr 0.0000 0.0000 0.0000 1
Cd1 Cd 0.0000 0.3378 0.5000 1
```

Top 10 peaks for 5 to 70 degrees two-theta, by angle:
index  2θ/deg  d/Å  I_rel
1 1 0  20.02  4.435  25.8
0 0 1  24.87  3.581  36.5
1 1 1  32.13  2.786  86.4
3 0 0  35.04  2.561  100.0
3 0 1  43.44  2.083  48.0
2 2 1  48.27  1.885  26.6
4 1 1  61.03  1.518  25.4
3 3 0  62.86  1.478  16.9
3 0 2  63.39  1.467  33.3
3 3 1  68.68  1.367  11.4



(8)
Simulated powder diffractogram of Na16SrCd12 for Cu Kα (weighted mean of Kα1 and Kα2), from a cell relaxed with GGA-PBE.

Cell and atoms:
```
data_Na16SrCd12
_chemical_formula_sum 'Na32 Sr2 Cd24'
_cell_length_a 11.7928
_cell_length_b 16.9675
_cell_length_c 9.9891
_cell_angle_alpha 90.00
_cell_angle_beta 124.36
_cell_angle_gamma 90.00
_space_group_name_H-M_alt 'C 1 m 1'
_space_group_IT_number 8
loop_
_space_group_symop_operation_xyz
'x,y,z'
'x,-y,z'
'x+1/2,y+1/2,z'
'x+1/2,-y+1/2,z'
loop_
_atom_site_label
_atom_site_type_symbol
_atom_site_fract_x
_atom_site_fract_y
_atom_site_fract_z
_atom_site_occupancy
Na1 Na 0.0000 0.0000 0.0000 1
Na2 Na 0.0019 0.0000 0.6449 1
Na3 Na 0.0571 0.3468 0.0457 1
Na4 Na 0.1573 0.1623 0.2274 1
Na5 Na 0.1668 0.1669 0.6341 1
Na6 Na 0.1759 0.5000 0.9016 1
Na7 Na 0.1819 0.5000 0.2951 1
Na8 Na 0.2915 0.2941 0.9476 1
Na9 Na 0.4518 0.1521 0.6450 1
Na10 Na 0.4864 0.2092 0.3275 1
Sr1 Sr 0.4224 0.0000 0.3704 1
Cd1 Cd 0.0011 0.1774 0.8241 1
Cd2 Cd 0.1798 0.0000 0.4532 1
Cd3 Cd 0.2290 0.4102 0.6392 1
Cd4 Cd 0.2650 0.0921 0.9990 1
Cd5 Cd 0.3190 0.3224 0.4484 1
Cd6 Cd 0.3582 0.0000 0.8104 1
Cd7 Cd 0.4110 0.4089 0.2661 1
```

Top 10 peaks for 5 to 70 degrees two-theta, by angle:
index  2θ/deg  d/Å  I_rel
0 2 0  10.45  8.467  38.2
1 3 0  18.16  4.884  68.7
2 2 -1  18.32  4.843  100.0
2 0 -2  18.77  4.727  50.9
1 5 1  31.78  2.815  34.9
1 3 2  32.08  2.790  63.8
4 0 -3  32.55  2.751  49.4
3 5 -1  35.23  2.547  71.1
3 1 1  35.37  2.537  34.6
3 1 -4  36.50  2.462  50.5



(9)
Simulated powder diffractogram of NaSr2Tl5Cd2 for Cu Kα (weighted mean of Kα1 and Kα2), from a cell relaxed with GGA-PBE.

Cell and atoms:
```
data_NaSr2Tl5Cd2
_chemical_formula_sum 'Na2 Sr4 Tl10 Cd4'
_cell_length_a 11.6514
_cell_length_b 11.6514
_cell_length_c 4.4916
_cell_angle_alpha 90.00
_cell_angle_beta 90.00
_cell_angle_gamma 90.00
_space_group_name_H-M_alt 'P 4/m b m'
_space_group_IT_number 127
_space_group_name_Hall '-P 4 2ab'
loop_
_atom_site_label
_atom_site_type_symbol
_atom_site_fract_x
_atom_site_fract_y
_atom_site_fract_z
_atom_site_occupancy
Na1 Na 0.0000 0.0000 0.0000 1
Sr1 Sr 0.1717 0.3283 0.0000 1
Tl1 Tl 0.0000 0.5000 0.5000 1
Tl2 Tl 0.0625 0.8008 0.5000 1
Cd1 Cd 0.1279 0.6279 0.0000 1
```

Top 10 peaks for 5 to 70 degrees two-theta, by angle:
index  2θ/deg  d/Å  I_rel
2 1 0  17.02  5.211  21.3
0 0 1  19.77  4.492  26.0
3 1 1  31.40  2.849  100.0
4 1 0  31.66  2.826  45.6
3 3 0  32.61  2.746  26.0
3 2 1  34.18  2.623  52.2
4 0 1  36.78  2.444  24.6
0 0 2  40.15  2.246  28.4
4 1 2  52.01  1.758  22.9
3 3 2  52.67  1.738  24.5



(10)
Simulated powder diffractogram of NaTl17Cd11 for Cu Kα (weighted mean of Kα1 and Kα2), from a cell relaxed with GGA-PBE.

Cell and atoms:
```
data_NaTl17Cd11
_chemical_formula_sum 'Na2 Tl34 Cd22'
_cell_length_a 11.7983
_cell_length_b 16.5809
_cell_length_c 10.1734
_cell_angle_alpha 90.00
_cell_angle_beta 125.33
_cell_angle_gamma 90.00
_space_group_name_H-M_alt 'C 1 m 1'
_space_group_IT_number 8
loop_
_space_group_symop_operation_xyz
'x,y,z'
'x,-y,z'
'x+1/2,y+1/2,z'
'x+1/2,-y+1/2,z'
loop_
_atom_site_label
_atom_site_type_symbol
_atom_site_fract_x
_atom_site_fract_y
_atom_site_fract_z
_atom_site_occupancy
Na1 Na 0.0000 0.0000 0.0000 1
Tl1 Tl 0.0703 0.2983 0.8624 1
Tl2 Tl 0.1832 0.5000 0.8946 1
Tl3 Tl 0.1943 0.1728 0.1767 1
Tl4 Tl 0.2093 0.1617 0.5767 1
Tl5 Tl 0.2176 0.5000 0.5261 1
Tl6 Tl 0.3148 0.3424 0.7785 1
Tl7 Tl 0.3645 0.0000 0.1745 1
Tl8 Tl 0.3700 0.0000 0.8211 1
Tl9 Tl 0.3801 0.3000 0.4875 1
Tl10 Tl 0.4086 0.3566 0.1760 1
Tl11 Tl 0.4667 0.5000 0.4562 1
Cd1 Cd 0.0490 0.3183 0.3607 1
Cd2 Cd 0.0975 0.0926 0.8040 1
Cd3 Cd 0.1416 0.4099 0.1756 1
Cd4 Cd 0.1950 0.0000 0.3781 1
Cd5 Cd 0.3670 0.1830 0.9898 1
Cd6 Cd 0.4670 0.0940 0.5490 1
```

Top 10 peaks for 5 to 70 degrees two-theta, by angle:
index  2θ/deg  d/Å  I_rel
1 3 0  18.49  4.799  7.6
0 4 2  30.48  2.933  6.4
3 3 0  32.23  2.777  50.1
3 3 -3  32.36  2.767  100.0
3 1 -4  35.82  2.507  16.2
2 6 0  37.52  2.397  10.8
4 4 -3  39.07  2.306  8.4
7 3 -3  57.43  1.605  9.3
2 6 3  57.67  1.598  14.7
1 9 -3  57.75  1.596  14.2



(11)
Simulated powder diffractogram of Na2TlCd9 for Cu Kα (weighted mean of Kα1 and Kα2), from a cell relaxed with GGA-PBE.

Cell and atoms:
```
data_Na2TlCd9
_chemical_formula_sum 'Na4 Tl2 Cd18'
_cell_length_a 6.1107
_cell_length_b 6.1107
_cell_length_c 19.0169
_cell_angle_alpha 90.00
_cell_angle_beta 90.00
_cell_angle_gamma 120.00
_space_group_name_H-M_alt 'P 63/m m c'
_space_group_IT_number 194
_space_group_name_Hall '-P 6c 2c'
loop_
_atom_site_label
_atom_site_type_symbol
_atom_site_fract_x
_atom_site_fract_y
_atom_site_fract_z
_atom_site_occupancy
Na1 Na 0.3333 0.6667 0.0372 1
Tl1 Tl 0.3333 0.6667 0.2500 1
Cd1 Cd 0.0000 0.0000 0.0000 1
Cd2 Cd 0.0000 0.0000 0.2500 1
Cd3 Cd 0.1703 0.3405 0.6216 1
Cd4 Cd 0.3333 0.6667 0.7500 1
```

Top 10 peaks for 5 to 70 degrees two-theta, by angle:
index  2θ/deg  d/Å  I_rel
0 0 2  9.30  9.508  31.5
1 0 3  21.88  4.062  20.6
1 1 2  30.74  2.909  17.0
2 0 1  34.21  2.621  40.3
1 1 4  34.91  2.570  100.0
2 0 3  36.81  2.442  21.7
0 0 8  37.85  2.377  30.3
2 0 4  38.95  2.312  18.4
3 0 4  55.59  1.653  33.4
2 2 0  60.61  1.528  24.4



Copy entry 3 word for word.
Simulated powder diffractogram of Na3SrCd3 for Cu Kα (weighted mean of Kα1 and Kα2), from a cell relaxed with GGA-PBE.

Cell and atoms:
```
data_Na3SrCd3
_chemical_formula_sum 'Na6 Sr2 Cd6'
_cell_length_a 8.2353
_cell_length_b 8.2353
_cell_length_c 8.2353
_cell_angle_alpha 90.00
_cell_angle_beta 90.00
_cell_angle_gamma 90.00
_space_group_name_H-M_alt 'P m -3 n'
_space_group_IT_number 223
_space_group_name_Hall '-P 4n 2 3'
loop_
_atom_site_label
_atom_site_type_symbol
_atom_site_fract_x
_atom_site_fract_y
_atom_site_fract_z
_atom_site_occupancy
Na1 Na 0.0000 0.2500 0.5000 1
Sr1 Sr 0.0000 0.0000 0.0000 1
Cd1 Cd 0.0000 0.5000 0.2500 1
```

Top 10 peaks for 5 to 70 degrees two-theta, by angle:
index  2θ/deg  d/Å  I_rel
2 0 0  21.58  4.118  41.5
2 1 0  24.17  3.683  78.7
2 1 1  26.51  3.362  100.0
2 2 2  37.84  2.377  27.0
3 2 0  39.45  2.284  21.6
3 2 1  41.01  2.201  61.2
4 0 0  43.98  2.059  30.7
4 2 1  50.81  1.797  20.4
5 2 0  60.55  1.529  17.8
4 4 0  63.95  1.456  19.1



What did the second record say?
Simulated powder diffractogram of Na5Sr6Cd for Cu Kα (weighted mean of Kα1 and Kα2), from a cell relaxed with GGA-PBE.

Cell and atoms:
```
data_Na5Sr6Cd
_chemical_formula_sum 'Na5 Sr6 Cd1'
_cell_length_a 6.2587
_cell_length_b 8.7662
_cell_length_c 9.8737
_cell_angle_alpha 90.00
_cell_angle_beta 108.24
_cell_angle_gamma 90.00
_space_group_name_H-M_alt 'P 1 2/m 1'
_space_group_IT_number 10
loop_
_space_group_symop_operation_xyz
'x,y,z'
'-x,-y,-z'
'-x,y,-z'
'x,-y,z'
loop_
_atom_site_label
_atom_site_type_symbol
_atom_site_fract_x
_atom_site_fract_y
_atom_site_fract_z
_atom_site_occupancy
Na1 Na 0.0000 0.0000 0.0000 1
Na2 Na 0.3281 0.5000 0.6530 1
Na3 Na 0.3301 0.0000 0.6579 1
Sr1 Sr 0.1555 0.2612 0.3131 1
Sr2 Sr 0.5000 0.2694 0.0000 1
Cd1 Cd 0.0000 0.5000 0.0000 1
```

Top 10 peaks for 5 to 70 degrees two-theta, by angle:
index  2θ/deg  d/Å  I_rel
0 1 0  10.09  8.766  9.0
1 0 -2  20.08  4.423  17.1
2 0 -1  28.54  3.128  50.9
1 2 1  28.67  3.113  100.0
2 0 2  40.71  2.216  9.2
2 0 -4  40.89  2.207  9.2
0 4 0  41.19  2.192  8.8
3 2 0  50.57  1.805  18.5
3 2 -3  50.68  1.801  18.5
2 4 -1  50.88  1.795  18.0